# Er15Fe8C25
Simulated XRD peak list, Cu Kα, 1.54184 Å. Input: a cell relaxed with PBE.
No peak broadening, texture or thermal motion is included.

```
48
Lattice="11.802 0.000 0.000 -5.901 10.221 0.000 0.000 0.000 5.068" Properties=species:S:1:pos:R:3 pbc="T T T"
Er -4.592 8.639 0.000
Er -1.818 4.591 0.041
Er 0.715 1.924 0.000
Er -2.029 7.153 2.587
Er 2.828 0.457 2.549
Er 0.720 4.887 2.587
Er -1.015 9.500 0.041
Er 3.909 3.416 1.298
Er 1.308 8.401 2.587
Er 2.834 6.350 0.041
Er 6.889 1.677 1.298
Er 4.883 7.543 2.549
Er 3.877 9.878 0.000
Er 6.905 5.127 1.298
Er 9.992 2.221 2.549
Fe 0.000 0.000 2.483
Fe 0.000 6.814 0.098
Fe 2.956 3.412 3.825
Fe 5.125 2.049 3.788
Fe 7.369 0.854 3.825
Fe 5.113 4.758 3.788
Fe 7.465 3.413 3.788
Fe 7.378 5.955 3.825
C -4.773 8.777 2.521
C -3.107 6.661 5.036
C -1.677 4.663 2.614
C 0.686 1.698 2.521
C -1.814 7.073 0.063
C 2.697 0.382 5.041
C 1.687 2.615 2.619
C 0.683 5.113 0.063
C 1.686 4.199 5.036
C 3.504 1.491 4.784
C -1.024 9.341 2.614
C 5.457 0.352 2.894
C 1.131 8.255 0.063
C 2.701 6.437 2.614
C 3.478 5.319 2.894
C 1.422 9.581 5.036
C 5.901 3.407 2.666
C 8.694 0.154 2.619
C 5.440 6.441 4.784
C 4.884 7.694 5.041
C 4.087 9.966 2.521
C 8.759 2.289 4.784
C 10.122 2.144 5.041
C 8.768 4.549 2.894
C 7.322 7.452 2.619
```

Peak list (10 most intense, 10 to 90 degrees two-theta, in order of rising 2θ)
hkl, d_spacing, I (rel.)
3 -1 1, 3.072, 100
2 2 0, 2.950, 33
0 3 1, 2.830, 30
4 -3 1, 2.474, 25
0 1 2, 2.459, 30
2 3 0, 2.345, 26
1 4 0, 2.230, 17
3 -1 2, 2.119, 20
5 -3 2, 1.721, 17
2 5 1, 1.558, 22